For HoEr2Fe9, the PBE geometry in Alexandria gives the theoretical powder diffraction line list in this record (a wavelength of 1.5418 Å).
No peak broadening, texture or thermal motion is included.

Main lines, most intense first (2θ from 5° to 70°):
2theta	d [Å]	intensity
42.21	2.141	100
35.47	2.531	58
33.09	2.707	53
41.37	2.183	39
36.19	2.482	36
68.32	1.373	23
62.19	1.493	18
20.60	4.312	15
64.16	1.452	13
69.44	1.354	13

Structure:
a b c (Å): 8.547 8.547 8.547
angles (deg): 34.45 34.45 34.45
Element x y z (fractional)
Ho (0.000, 0.000, 0.000)
Er (0.142, 0.142, 0.142)
Er (0.858, 0.858, 0.858)
Fe (0.081, 0.582, 0.582)
Fe (0.333, 0.333, 0.333)
Fe (0.418, 0.418, 0.919)
Fe (0.418, 0.919, 0.418)
Fe (0.500, 0.500, 0.500)
Fe (0.582, 0.081, 0.582)
Fe (0.582, 0.582, 0.081)
Fe (0.667, 0.667, 0.667)
Fe (0.919, 0.418, 0.418)